For CeScGaCu, a cell relaxed with PBE gives the computed powder XRD pattern in this record (copper Kα).

Structure:
```
4
Lattice="0.000 3.471 3.471 3.471 0.000 3.471 3.471 3.471 0.000" Properties=species:S:1:pos:R:3 pbc="T T T"
Ce 0.000 0.000 0.000
Sc 3.471 3.471 3.471
Ga 5.207 5.207 5.207
Cu 1.736 1.736 1.736
```

Largest 12 diffraction maxima, sorted by position, 15 to 90 degrees two-theta:
2θ = 22.18°, I 20; 2θ = 25.66°, I 2; 2θ = 36.61°, I 100; 2θ = 43.22°, I 11; 2θ = 52.74°, I 17; 2θ = 57.90°, I 5; 2θ = 59.55°, I 1; 2θ = 65.92°, I 34; 2θ = 70.48°, I 4; 2θ = 77.83°, I 10; 2θ = 82.14°, I 4; 2θ = 89.23°, I 15

For Na2Sr8Al, a cell relaxed with PBE gives the computed powder XRD pattern in this record (copper Kα).

Structure:
```
11
Lattice="10.479 -3.077 0.000 10.479 3.077 0.000 -0.865 0.000 7.951" Properties=species:S:1:pos:R:3 pbc="T T T"
Na 3.227 0.000 1.354
Na 16.865 0.000 6.597
Sr -0.094 0.000 6.172
Sr 3.956 0.000 5.027
Sr 7.148 0.000 0.653
Sr 8.154 0.000 4.790
Sr 11.938 0.000 3.161
Sr 12.944 0.000 7.298
Sr 16.136 0.000 2.924
Sr 20.186 0.000 1.779
Al 10.479 0.000 0.000
```

Largest 12 diffraction maxima, sorted by position, 15 to 90 degrees two-theta:
2θ = 23.03°, I 35; 2θ = 25.82°, I 35; 2θ = 26.69°, I 22; 2θ = 27.24°, I 78; 2θ = 27.43°, I 100; 2θ = 29.02°, I 52; 2θ = 29.15°, I 36; 2θ = 36.34°, I 15; 2θ = 39.83°, I 19; 2θ = 41.61°, I 28; 2θ = 50.37°, I 20; 2θ = 50.47°, I 19

For Pm5Ag2Rh2, a cell relaxed with PBE gives the computed powder XRD pattern in this record (copper Kα).

Structure:
```
18
Lattice="7.958 -3.820 0.000 7.958 3.820 0.000 0.000 0.000 7.777" Properties=species:S:1:pos:R:3 pbc="T T T"
Pm 0.000 0.000 0.000
Pm 5.957 2.519 5.221
Pm 5.957 1.300 1.333
Pm 9.959 2.519 5.221
Pm 9.959 1.300 1.333
Pm 7.958 0.000 3.888
Pm 5.957 -1.300 6.444
Pm 5.957 -2.519 2.556
Pm 9.959 -1.300 6.444
Pm 9.959 -2.519 2.556
Ag 3.372 0.000 0.000
Ag 4.586 0.000 3.888
Ag 11.330 0.000 3.888
Ag 12.544 0.000 0.000
Rh 7.958 2.799 2.852
Rh 7.958 1.021 6.741
Rh 7.958 -1.021 1.036
Rh 7.958 -2.799 4.924
```

Largest 12 diffraction maxima, sorted by position, 15 to 90 degrees two-theta:
2θ = 25.99°, I 23; 2θ = 30.82°, I 84; 2θ = 32.19°, I 58; 2θ = 32.53°, I 97; 2θ = 32.87°, I 49; 2θ = 34.53°, I 100; 2θ = 37.06°, I 62; 2θ = 37.59°, I 59; 2θ = 38.40°, I 44; 2θ = 45.60°, I 25; 2θ = 58.50°, I 24; 2θ = 68.25°, I 23

For LiPmNd2Hg4, a cell relaxed with PBE gives the computed powder XRD pattern in this record (copper Kα).

Structure:
```
8
Lattice="2.629 1.518 8.824 -2.629 1.518 8.824 0.000 -3.035 8.824" Properties=species:S:1:pos:R:3 pbc="T T T"
Li 0.000 0.000 0.000
Pm 0.000 0.000 13.236
Nd 0.000 0.000 6.767
Nd 0.000 0.000 19.704
Hg 0.000 0.000 3.248
Hg 0.000 0.000 9.896
Hg 0.000 0.000 16.575
Hg 0.000 0.000 23.224
```

Largest 12 diffraction maxima, sorted by position, 15 to 90 degrees two-theta:
2θ = 23.72°, I 20; 2θ = 25.81°, I 6; 2θ = 33.48°, I 100; 2θ = 34.11°, I 98; 2θ = 48.54°, I 36; 2θ = 59.44°, I 18; 2θ = 60.65°, I 37; 2θ = 61.05°, I 20; 2θ = 70.34°, I 11; 2θ = 71.82°, I 13; 2θ = 80.54°, I 16; 2θ = 81.60°, I 16

For Ho12ErTh7, a cell relaxed with PBE gives the computed powder XRD pattern in this record (copper Kα).

Structure:
```
20
Lattice="5.953 3.437 5.303 -5.953 3.437 5.303 0.000 -6.874 5.303" Properties=species:S:1:pos:R:3 pbc="T T T"
Ho -2.159 -4.774 6.620
Ho -5.214 -0.517 9.290
Ho -3.158 0.898 7.099
Ho -2.357 -2.286 8.811
Ho 0.801 -3.184 7.099
Ho -3.055 4.257 6.621
Ho 3.055 -4.257 9.290
Ho -0.801 3.184 8.811
Ho 2.357 2.286 7.099
Ho 3.158 -0.898 8.811
Ho 5.214 0.517 6.620
Ho 2.159 4.774 9.290
Er 0.000 0.000 7.955
Th 0.000 0.000 0.000
Th -1.430 -1.322 4.621
Th -0.430 1.899 4.621
Th 1.860 -0.578 4.621
Th -1.860 0.578 11.289
Th 0.430 -1.899 11.289
Th 1.430 1.322 11.289
```

Largest 12 diffraction maxima, sorted by position, 15 to 90 degrees two-theta:
2θ = 22.45°, I 13; 2θ = 28.34°, I 16; 2θ = 29.38°, I 27; 2θ = 31.01°, I 41; 2θ = 31.79°, I 100; 2θ = 32.16°, I 42; 2θ = 33.08°, I 15; 2θ = 33.29°, I 64; 2θ = 37.12°, I 13; 2θ = 51.60°, I 15; 2θ = 53.41°, I 14; 2θ = 55.67°, I 20

For Ce6MnHg2, a cell relaxed with PBE gives the computed powder XRD pattern in this record (copper Kα).

Structure:
```
9
Lattice="5.794 -3.441 0.000 5.794 3.441 0.000 -3.608 0.000 5.663" Properties=species:S:1:pos:R:3 pbc="T T T"
Ce 2.823 1.803 4.386
Ce 1.931 0.000 1.514
Ce 5.156 1.803 1.276
Ce 2.823 -1.803 4.386
Ce 6.048 0.000 4.149
Ce 5.156 -1.803 1.276
Mn 3.990 0.000 2.831
Hg -0.017 0.000 4.313
Hg 7.997 0.000 1.350
```

Largest 12 diffraction maxima, sorted by position, 15 to 90 degrees two-theta:
2θ = 31.60°, I 50; 2θ = 31.81°, I 100; 2θ = 33.15°, I 33; 2θ = 36.79°, I 38; 2θ = 37.45°, I 68; 2θ = 52.47°, I 30; 2θ = 53.24°, I 14; 2θ = 54.53°, I 16; 2θ = 63.20°, I 24; 2θ = 63.80°, I 9; 2θ = 64.17°, I 10; 2θ = 66.46°, I 13

For NpCu5Pd6, a cell relaxed with PBE gives the computed powder XRD pattern in this record (copper Kα).

Structure:
```
12
Lattice="2.074 -6.159 0.000 2.074 6.159 0.000 0.000 0.000 7.012" Properties=species:S:1:pos:R:3 pbc="T T T"
Np 0.000 0.000 0.000
Cu 0.000 0.000 3.506
Cu 2.074 2.180 0.000
Cu 2.074 2.036 3.506
Cu 2.074 -2.036 3.506
Cu 2.074 -2.180 0.000
Pd 2.074 4.081 1.828
Pd 2.074 4.081 5.184
Pd 2.074 0.000 1.848
Pd 2.074 0.000 5.164
Pd 2.074 -4.081 1.828
Pd 2.074 -4.081 5.184
```

Largest 12 diffraction maxima, sorted by position, 15 to 90 degrees two-theta:
2θ = 25.98°, I 6; 2θ = 33.25°, I 5; 2θ = 40.21°, I 100; 2θ = 43.63°, I 20; 2θ = 44.11°, I 19; 2θ = 52.18°, I 11; 2θ = 63.78°, I 12; 2θ = 70.31°, I 9; 2θ = 70.66°, I 9; 2θ = 77.80°, I 14; 2θ = 78.48°, I 13; 2θ = 86.85°, I 10

For CdRh4Se8, a cell relaxed with PBE gives the computed powder XRD pattern in this record (copper Kα).

Structure:
```
13
Lattice="0.000 5.328 5.328 5.328 0.000 5.328 5.328 5.328 0.000" Properties=species:S:1:pos:R:3 pbc="T T T"
Cd 0.000 0.000 0.000
Rh 6.623 4.033 4.033
Rh 4.033 6.623 4.033
Rh 4.033 4.033 6.623
Rh 6.623 6.623 6.623
Se 4.138 4.138 4.138
Se 6.518 6.518 4.138
Se 6.518 4.138 6.518
Se 9.140 6.843 6.843
Se 4.138 6.518 6.518
Se 6.843 9.140 6.843
Se 6.843 6.843 9.140
Se 9.140 9.140 9.140
```

Largest 12 diffraction maxima, sorted by position, 15 to 90 degrees two-theta:
2θ = 27.77°, I 60; 2θ = 33.64°, I 97; 2θ = 44.16°, I 57; 2θ = 48.32°, I 100; 2θ = 50.68°, I 14; 2θ = 60.17°, I 19; 2θ = 62.22°, I 15; 2θ = 67.52°, I 14; 2θ = 70.73°, I 13; 2θ = 77.59°, I 12; 2θ = 80.65°, I 20; 2θ = 87.29°, I 15

For Rb3Sn5Au3, a cell relaxed with PBE gives the computed powder XRD pattern in this record (copper Kα).

Structure:
```
11
Lattice="8.675 0.000 0.000 -4.338 7.513 0.000 0.000 0.000 6.725" Properties=species:S:1:pos:R:3 pbc="T T T"
Rb -1.483 2.569 0.000
Rb 2.967 0.000 0.000
Rb 2.854 4.944 0.000
Sn -3.091 5.354 3.362
Sn 1.247 2.159 3.362
Sn 0.000 5.009 3.362
Sn 4.338 2.504 3.362
Sn 6.182 0.000 3.362
Au -1.523 2.637 3.362
Au 3.045 0.000 3.362
Au 2.815 4.876 3.362
```

Largest 12 diffraction maxima, sorted by position, 15 to 90 degrees two-theta:
2θ = 20.47°, I 66; 2θ = 26.51°, I 80; 2θ = 33.73°, I 38; 2θ = 34.28°, I 19; 2θ = 35.86°, I 96; 2θ = 38.35°, I 61; 2θ = 41.64°, I 26; 2θ = 45.14°, I 100; 2θ = 54.98°, I 28; 2θ = 67.05°, I 31; 2θ = 70.95°, I 25; 2θ = 82.13°, I 18

For Ta3SbS8, a cell relaxed with PBE gives the computed powder XRD pattern in this record (copper Kα).

Structure:
```
24
Lattice="6.964 0.000 0.000 -3.482 6.031 0.000 0.000 0.000 13.152" Properties=species:S:1:pos:R:3 pbc="T T T"
Ta 0.000 1.973 0.000
Ta -1.773 5.044 0.000
Ta 1.709 0.987 6.576
Ta 1.773 5.044 0.000
Ta 5.255 0.987 6.576
Ta 3.482 4.057 6.576
Sb 0.000 4.021 3.117
Sb 3.482 2.010 9.693
S 0.000 0.000 1.522
S 0.000 0.000 8.098
S 5.222 3.015 1.511
S -1.740 3.016 8.087
S 0.000 1.988 5.212
S -1.760 5.037 5.212
S 1.722 0.994 11.789
S 0.000 4.021 11.714
S 3.482 0.001 1.511
S 0.000 6.030 8.087
S 1.741 3.015 1.511
S 1.740 3.016 8.087
S 3.482 2.010 5.137
S 1.760 5.037 5.212
S 5.242 0.994 11.789
S 3.482 4.043 11.789
```

Largest 12 diffraction maxima, sorted by position, 15 to 90 degrees two-theta:
2θ = 16.17°, I 78; 2θ = 19.98°, I 36; 2θ = 29.02°, I 49; 2θ = 30.41°, I 64; 2θ = 32.67°, I 31; 2θ = 36.15°, I 100; 2θ = 40.59°, I 36; 2θ = 45.77°, I 46; 2θ = 52.57°, I 43; 2θ = 54.53°, I 20; 2θ = 57.82°, I 22; 2θ = 80.32°, I 20

For Sm3ScGe6, a cell relaxed with PBE gives the computed powder XRD pattern in this record (copper Kα).

Structure:
```
20
Lattice="5.797 3.347 3.802 -5.797 3.347 3.802 0.000 -6.694 3.802" Properties=species:S:1:pos:R:3 pbc="T T T"
Sm -3.292 0.993 4.753
Sm -2.506 -2.354 6.654
Sm 0.786 -3.347 4.753
Sm -0.786 3.347 6.654
Sm 2.506 2.354 4.753
Sm 3.292 -0.993 6.654
Sc 0.000 0.000 0.000
Sc 0.000 0.000 5.703
Ge -0.433 -2.130 1.791
Ge -1.628 1.440 1.791
Ge -1.628 -1.440 3.912
Ge 2.061 0.690 1.791
Ge -0.433 2.130 3.912
Ge 2.061 -0.690 3.912
Ge -2.061 0.690 7.495
Ge 0.433 -2.130 7.495
Ge -2.061 -0.690 9.615
Ge 1.628 1.440 7.495
Ge 1.628 -1.440 9.615
Ge 0.433 2.130 9.615
```

Largest 12 diffraction maxima, sorted by position, 15 to 90 degrees two-theta:
2θ = 15.28°, I 16; 2θ = 28.07°, I 28; 2θ = 32.64°, I 16; 2θ = 33.11°, I 100; 2θ = 35.89°, I 69; 2θ = 36.23°, I 50; 2θ = 46.44°, I 19; 2θ = 47.92°, I 23; 2θ = 53.17°, I 14; 2θ = 53.28°, I 13; 2θ = 57.30°, I 13; 2θ = 69.36°, I 16

For La8Sm5In, a cell relaxed with PBE gives the computed powder XRD pattern in this record (copper Kα).

Structure:
```
14
Lattice="7.983 -4.225 0.000 7.983 4.225 0.000 -4.739 0.000 7.346" Properties=species:S:1:pos:R:3 pbc="T T T"
La 3.216 2.188 3.043
La 0.939 0.000 1.427
La 1.450 0.756 5.444
La 8.012 2.188 4.302
La 4.717 -1.996 0.578
La 9.777 0.756 1.901
La 10.289 0.000 5.919
La 6.510 -1.996 6.768
Sm 6.252 1.511 1.459
Sm 4.976 1.511 5.886
Sm 3.877 -1.220 3.996
Sm 7.350 -1.220 3.350
Sm 5.614 -4.028 3.673
In 7.983 -1.261 0.000
```

Largest 12 diffraction maxima, sorted by position, 15 to 90 degrees two-theta:
2θ = 23.88°, I 21; 2θ = 24.34°, I 19; 2θ = 29.40°, I 26; 2θ = 30.39°, I 100; 2θ = 30.53°, I 86; 2θ = 30.87°, I 82; 2θ = 31.44°, I 57; 2θ = 32.30°, I 33; 2θ = 32.46°, I 69; 2θ = 38.11°, I 15; 2θ = 38.60°, I 14; 2θ = 56.42°, I 18